Starting from a DFT-relaxed cell (PBE, the Materials Project), the PXRD pattern of LiSbP2O7 was calculated for Cu Kα, 1.54184 Å.
Kinematic intensities with the Lorentz-polarization factor, no thermal factor.

Largest 6 diffraction maxima, sorted by position, 2θ from 5° to 70°:
2θ (°), intensity, (hkl)
13.81, 29, 0 0 2
21.88, 100, 2 0 0
30.56, 19, 1 1 -4
32.93, 8, 0 1 4
34.54, 14, 3 1 -2
34.92, 11, 0 2 0

Atomic structure:
Cell: 9.029 5.139 14.249 Å, 90.00 115.83 90.00°
Positions (direct):
Li 0.077 0.226 0.206
Li 0.077 0.274 0.706
Li 0.923 0.726 0.294
Li 0.923 0.774 0.794
Sb 0.233 0.223 0.971
Sb 0.233 0.277 0.471
Sb 0.767 0.723 0.529
Sb 0.767 0.777 0.029
P 0.178 0.716 0.117
P 0.178 0.784 0.617
P 0.303 0.747 0.841
P 0.303 0.753 0.341
P 0.697 0.247 0.659
P 0.697 0.253 0.159
P 0.822 0.216 0.383
P 0.822 0.284 0.883
O 0.027 0.636 0.616
O 0.027 0.864 0.116
O 0.150 0.078 0.607
O 0.150 0.422 0.107
O 0.176 0.536 0.835
O 0.176 0.964 0.335
O 0.220 0.019 0.835
O 0.220 0.481 0.335
O 0.238 0.670 0.541
O 0.238 0.830 0.041
O 0.322 0.724 0.733
O 0.322 0.776 0.233
O 0.470 0.727 0.929
O 0.470 0.773 0.429
O 0.530 0.227 0.571
O 0.530 0.273 0.071
O 0.678 0.224 0.767
O 0.678 0.276 0.267
O 0.762 0.170 0.959
O 0.762 0.330 0.459
O 0.780 0.519 0.665
O 0.780 0.981 0.165
O 0.824 0.036 0.665
O 0.824 0.464 0.165
O 0.850 0.578 0.893
O 0.850 0.922 0.393
O 0.973 0.136 0.884
O 0.973 0.364 0.384

---

Starting from a DFT-relaxed cell (PBE, the Materials Project), the PXRD pattern of Mn2SnTe4 was calculated for Cu Kα, 1.54184 Å.
Kinematic intensities with the Lorentz-polarization factor, no thermal factor.

Largest 6 diffraction maxima, sorted by position, 2θ from 5° to 70°:
2θ (°), intensity, (hkl)
25.22, 31, 2 2 0
28.04, 100, 2 2 1
28.46, 48, 4 0 1
35.27, 40, 2 2 2
44.15, 29, 0 4 0
45.03, 82, 6 2 0

Atomic structure:
Cell: 13.872 8.205 7.341 Å, 90.00 90.00 90.00°
Positions (direct):
Mn 0.000 0.000 0.000
Mn 0.000 0.500 0.000
Mn 0.236 0.250 0.487
Mn 0.264 0.750 0.987
Mn 0.500 0.000 0.500
Mn 0.500 0.500 0.500
Mn 0.736 0.250 0.013
Mn 0.764 0.750 0.513
Sn 0.089 0.750 0.575
Sn 0.411 0.250 0.075
Sn 0.589 0.750 0.925
Sn 0.911 0.250 0.425
Te 0.090 0.750 0.161
Te 0.091 0.250 0.224
Te 0.172 0.018 0.780
Te 0.172 0.482 0.780
Te 0.328 0.518 0.280
Te 0.328 0.982 0.280
Te 0.409 0.750 0.724
Te 0.410 0.250 0.661
Te 0.590 0.750 0.339
Te 0.591 0.250 0.276
Te 0.672 0.018 0.720
Te 0.672 0.482 0.720
Te 0.828 0.518 0.220
Te 0.828 0.982 0.220
Te 0.909 0.750 0.776
Te 0.910 0.250 0.839

---

Starting from a DFT-relaxed cell (PBE, the Materials Project), the PXRD pattern of SmCoC2 was calculated for Cu Kα, 1.54184 Å.
Kinematic intensities with the Lorentz-polarization factor, no thermal factor.

Largest 6 diffraction maxima, sorted by position, 2θ from 5° to 70°:
2θ (°), intensity, (hkl)
24.00, 39, 1 1 0
24.69, 39, 0 0 2
32.09, 100, 1 1 -2
34.56, 65, 2 0 0
36.12, 60, 0 2 1
37.16, 91, 1 1 2

Atomic structure:
Cell: 5.295 5.298 7.356 Å, 90.00 101.39 90.00°
Positions (direct):
Sm 0.000 0.071 0.000
Sm 0.000 0.929 0.500
Sm 0.500 0.429 0.500
Sm 0.500 0.571 0.000
Co 0.057 0.431 0.694
Co 0.057 0.569 0.194
Co 0.557 0.069 0.194
Co 0.557 0.931 0.694
C 0.328 0.182 0.773
C 0.328 0.818 0.273
C 0.482 0.075 0.927
C 0.482 0.925 0.427
C 0.828 0.318 0.273
C 0.828 0.682 0.773
C 0.982 0.425 0.427
C 0.982 0.575 0.927